Structure and computed powder X-ray diffraction pattern of Fe2Cu2Pd5 (a structure optimized by DFT (GGA-PBE); CuKα).

The 8 most intense peaks (10° ≤ 2θ ≤ 80°), sorted by position:
index	2theta	I/Imax
0 2 0	27.7	22
4 2 0	36.3	87
3 1 2	40.2	55
4 0 2	40.7	100
7 1 0	43.3	66
0 2 2	43.7	75
3 3 0	45.8	23
7 3 2	70.4	32

Cell: 15.4533 6.4359 5.4084 Å, 90.00 90.00 90.00°
Space group Ima2 (No. 46)
Inequivalent atoms, fractional coordinates:
1 Fe 0.0405 0.1390 0.0000 x8
2 Cu 0.0000 0.0000 0.5541 x4
3 Cu 0.2500 0.5398 0.0117 x4
4 Pd 0.1038 0.7174 0.7618 x8
5 Pd 0.1640 0.2391 0.2584 x8
6 Pd 0.2500 0.5711 0.4932 x4